Starting from a crystal structure in Alexandria, relaxed with GGA-PBE, the XRD peak list of BaNi10P6 was calculated for a wavelength of 1.5418 Å.

Most intense lines, 2θ = 10–80°, sorted by position:
Position (°2θ), I_rel
29.9, 75.3
32.4, 52.1
32.9, 45.0
35.6, 100.0
36.4, 70.2
37.6, 78.5
47.6, 73.9
52.2, 54.0
53.6, 67.3
57.5, 63.0

```
BaNi10P6
1.0
3.2074 -8.1587 0.0000
3.2074 8.1587 0.0000
0.0000 0.0000 8.7946
Ba Ni P
2 20 12
Cartesian
0.0000 0.0000 0.0000
3.2074 0.0000 4.3973
1.2768 2.8517 4.1473
3.2074 7.4147 5.4360
1.6037 2.6246 6.5959
1.9307 2.8517 0.2500
3.2074 4.7319 6.9727
3.2074 3.4267 2.5754
1.2768 -2.8517 4.6473
1.6037 -2.6246 2.1986
3.2074 0.7440 1.0387
1.9307 -2.8517 8.5446
4.4842 2.8517 0.2500
3.2074 -0.7440 7.7559
4.8111 2.6246 6.5959
5.1381 2.8517 4.1473
3.2074 -3.4267 6.2192
3.2074 -4.7319 1.8219
4.4842 -2.8517 8.5446
4.8111 -2.6246 2.1986
3.2074 -7.4147 3.3586
5.1381 -2.8517 4.6473
3.2074 6.7015 3.2804
1.6037 1.7959 2.1986
3.2074 4.7450 0.6553
3.2074 3.4137 5.0526
1.6037 -1.7959 6.5959
3.2074 1.4572 7.6777
3.2074 -1.4572 1.1169
4.8111 1.7959 2.1986
3.2074 -3.4137 3.7419
3.2074 -4.7450 8.1392
4.8111 -1.7959 6.5959
3.2074 -6.7015 5.5142
```

Starting from a crystal structure in Alexandria, relaxed with GGA-PBE, the XRD peak list of Ba3NiP2S8 was calculated for a wavelength of 1.5418 Å.

Most intense lines, 2θ = 10–80°, sorted by position:
Position (°2θ), I_rel
18.5, 22.5
25.6, 58.4
26.9, 100.0
30.7, 22.5
32.8, 43.7
37.4, 61.9
44.3, 20.6
46.7, 23.7
52.6, 24.9
55.3, 27.7

```
Ba3NiP2S8
1.0
6.6409 0.0000 0.0000
-3.3205 5.7512 0.0000
0.0000 0.0000 8.7464
Ba Ni P S
3 1 2 8
Cartesian
0.0000 0.0000 0.0000
0.0000 3.8341 5.5451
3.3205 1.9171 3.2013
0.0000 0.0000 4.3732
0.0000 3.8341 1.9721
3.3205 1.9171 6.7744
0.0000 1.8745 2.7653
-1.6971 4.8140 2.7653
1.6233 0.9372 5.9812
0.0000 3.8341 8.6911
3.3205 1.9171 0.0553
1.6971 4.8140 2.7653
5.0176 0.9372 5.9812
3.3205 3.8767 5.9812
```

Starting from a crystal structure in Alexandria, relaxed with GGA-PBE, the XRD peak list of BaNi4SnP2 was calculated for a wavelength of 1.5418 Å.

Most intense lines, 2θ = 10–80°, sorted by position:
Position (°2θ), I_rel
23.5, 34.0
27.0, 14.8
29.7, 100.0
38.2, 80.8
43.5, 29.9
43.6, 20.3
48.0, 46.1
50.1, 20.4
57.4, 30.5
76.5, 14.9

```
BaNi4SnP2
1.0
3.7927 0.0000 0.0000
0.0000 3.7927 0.0000
0.0000 0.0000 9.9086
Ba Ni Sn P
1 4 1 2
Cartesian
0.0000 0.0000 0.0000
0.0000 1.8964 3.1137
0.0000 1.8964 6.7949
1.8964 0.0000 3.1137
1.8964 0.0000 6.7949
0.0000 0.0000 4.9543
1.8964 1.8964 1.9996
1.8964 1.8964 7.9091
```

Starting from a crystal structure in Alexandria, relaxed with GGA-PBE, the XRD peak list of BaUNi2P2 was calculated for a wavelength of 1.5418 Å.

Most intense lines, 2θ = 10–80°, sorted by position:
Position (°2θ), I_rel
10.5, 29.3
21.1, 10.3
25.8, 34.1
33.6, 100.0
41.5, 8.6
45.4, 33.3
50.8, 18.3
57.7, 21.2
64.3, 14.2
76.3, 19.1

```
BaUNi2P2
1.0
3.9919 0.0000 0.0000
-1.9960 3.4571 0.0000
0.0000 0.0000 8.4148
Ba U Ni P
1 1 2 2
Cartesian
0.0000 0.0000 0.0000
0.0000 0.0000 4.2074
0.0000 2.3047 2.5670
1.9960 1.1524 5.8478
0.0000 2.3047 6.0132
1.9960 1.1524 2.4016
```

Starting from a crystal structure in Alexandria, relaxed with GGA-PBE, the XRD peak list of BaZnNiPb was calculated for a wavelength of 1.5418 Å.

Most intense lines, 2θ = 10–80°, sorted by position:
Position (°2θ), I_rel
14.6, 76.0
24.6, 95.3
24.8, 47.8
29.5, 49.0
30.0, 91.1
30.1, 44.7
33.5, 49.5
39.4, 51.3
39.8, 100.0
50.3, 44.4

```
BaZnNiPb
1.0
3.9136 -2.2856 0.0000
3.9136 2.2856 0.0000
-2.6154 0.0000 6.0575
Ba Zn Ni Pb
1 1 1 1
Cartesian
0.0000 0.0000 0.0000
5.2058 0.0000 2.3838
-0.0230 0.0000 2.9947
2.5936 0.0000 3.5966
```

Starting from a crystal structure in Alexandria, relaxed with GGA-PBE, the XRD peak list of Ba2Zn6NiPd was calculated for a wavelength of 1.5418 Å.

Most intense lines, 2θ = 10–80°, sorted by position:
Position (°2θ), I_rel
25.9, 59.8
31.8, 71.6
36.9, 100.0
45.6, 24.8
53.1, 11.3
53.2, 56.0
63.3, 18.4
63.4, 9.2
66.5, 22.1
72.7, 8.7

```
Ba2Zn6NiPd
1.0
-3.4430 3.4494 4.8643
3.4430 -3.4494 4.8643
3.4430 3.4494 -4.8643
Ba Zn Ni Pd
2 6 1 1
Cartesian
0.0000 0.0000 2.4327
0.0000 0.0000 7.2958
1.6676 1.7778 0.0000
1.7754 -1.6716 4.8643
3.4430 0.0000 2.5065
0.0000 3.4494 2.3578
1.6676 5.1210 0.0000
1.7754 1.6716 4.8643
0.0000 3.4494 0.0000
3.4430 0.0000 0.0000
```